Structure and calculated powder XRD pattern of Mg3NF3 (a structure optimized by DFT (PBE); Cu Kα (weighted mean of Kα1 and Kα2)).
Neutral-atom scattering factors, no anomalous dispersion.

Peak list (10 most intense, 15 to 90 degrees two-theta, sorted by position)
two_theta  intensity  h k l
20.85  13  1 0 0
29.65  26  1 1 0
42.42  100  2 0 0
47.72  5  2 1 0
52.61  10  2 1 1
61.55  56  2 2 0
65.74  2  3 0 0
69.79  4  3 1 0
77.61  17  2 2 2
85.21  4  3 2 1

Structure:
Cell lengths 4.261, 4.261, 4.261 Å; angles 90.00, 90.00, 90.00 degrees
Element x y z (fractional)
Mg  0.000  0.000  0.500
Mg  0.000  0.500  0.000
Mg  0.500  0.000  0.000
N  0.000  0.000  0.000
F  0.000  0.500  0.500
F  0.500  0.000  0.500
F  0.500  0.500  0.000